Starting from a DFT-relaxed cell (PBE+U, the Materials Project), the XRD peak list of SrLaMnRuO6 was simulated for a wavelength of 1.5418 Å.
Lines closer than 0.1° are merged.

Atomic structure:
```
SrLaMnRuO6
1.0
2.868 1.656 4.561
-2.868 1.656 4.561
0.000 -3.312 4.561
Sr La Mn Ru O
1 1 1 1 6
Direct
0.000 0.000 0.000
0.501 0.501 0.501
0.251 0.251 0.251
0.752 0.752 0.752
0.080 0.910 0.521
0.446 0.580 0.996
0.521 0.080 0.910
0.580 0.996 0.446
0.910 0.521 0.080
0.996 0.446 0.580
```

The 10 most intense peaks (10° ≤ 2θ ≤ 80°), by angle:
2θ (°)	I/Imax
31.18	96.8
31.76	100.0
45.11	58.5
55.49	25.2
55.85	42.0
56.94	18.8
65.03	15.5
66.36	17.0
74.20	16.0
75.13	17.3

***

Starting from a DFT-relaxed cell (PBE+U, the Materials Project), the XRD peak list of Sr3La3Mn3RuO14 was simulated for a wavelength of 1.5418 Å.
Lines closer than 0.1° are merged.

Atomic structure:
```
Sr3La3Mn3RuO14
1.0
5.597 0.000 0.000
0.000 2.802 10.283
0.000 -2.802 10.283
Sr La Mn Ru O
3 3 3 1 14
Direct
0.000 0.000 0.000
0.000 0.182 0.182
0.500 0.499 0.499
0.000 0.363 0.363
0.500 0.680 0.680
0.500 0.865 0.865
0.000 0.780 0.780
0.500 0.081 0.081
0.500 0.279 0.279
0.000 0.581 0.581
0.000 0.480 0.480
0.000 0.679 0.679
0.000 0.884 0.884
0.252 0.348 0.829
0.252 0.829 0.348
0.255 0.033 0.532
0.255 0.532 0.033
0.500 0.185 0.185
0.500 0.381 0.381
0.500 0.977 0.977
0.745 0.033 0.532
0.745 0.532 0.033
0.748 0.348 0.829
0.748 0.829 0.348
```

The 10 most intense peaks (10° ≤ 2θ ≤ 80°), by angle:
2θ (°)	I/Imax
22.87	10.8
31.35	100.0
31.96	65.1
41.65	21.8
44.03	13.2
45.83	44.3
55.43	15.0
56.58	37.9
65.43	14.5
75.99	10.5

***

Starting from a DFT-relaxed cell (PBE+U, the Materials Project), the XRD peak list of La3MnWS3O6 was simulated for a wavelength of 1.5418 Å.
Lines closer than 0.1° are merged.

Atomic structure:
```
La3MnWS3O6
1.0
9.532 0.000 0.000
-4.766 8.255 0.000
0.000 0.000 5.618
La Mn W S O
6 2 2 6 12
Direct
0.089 0.681 0.250
0.319 0.407 0.250
0.407 0.089 0.750
0.593 0.911 0.250
0.681 0.593 0.750
0.911 0.319 0.750
0.000 0.000 0.000
0.000 0.000 0.500
0.333 0.667 0.750
0.667 0.333 0.250
0.046 0.815 0.750
0.185 0.231 0.750
0.231 0.046 0.250
0.769 0.954 0.750
0.815 0.769 0.250
0.954 0.185 0.250
0.161 0.527 0.524
0.161 0.527 0.976
0.366 0.839 0.524
0.366 0.839 0.976
0.473 0.634 0.524
0.473 0.634 0.976
0.527 0.366 0.024
0.527 0.366 0.476
0.634 0.161 0.024
0.634 0.161 0.476
0.839 0.473 0.024
0.839 0.473 0.476
```

The 10 most intense peaks (10° ≤ 2θ ≤ 80°), by angle:
2θ (°)	I/Imax
24.49	53.8
26.80	55.5
28.61	29.7
31.86	24.0
32.54	24.5
32.83	100.0
43.34	39.0
50.68	21.4
50.88	30.4
57.39	20.8

***

Starting from a DFT-relaxed cell (PBE+U, the Materials Project), the XRD peak list of La3MnWS3O6 was simulated for a wavelength of 1.5418 Å.
Lines closer than 0.1° are merged.

Atomic structure:
```
La3MnWS3O6
1.0
5.636 0.000 0.000
-0.047 9.542 0.000
-0.084 -4.770 8.268
La Mn W S O
6 2 2 6 12
Direct
0.250 0.087 0.408
0.250 0.321 0.913
0.250 0.592 0.679
0.750 0.408 0.321
0.750 0.679 0.087
0.750 0.913 0.592
0.000 0.000 0.000
0.500 0.000 0.000
0.250 0.667 0.333
0.750 0.333 0.667
0.237 0.231 0.186
0.253 0.815 0.045
0.260 0.955 0.769
0.740 0.045 0.231
0.747 0.185 0.955
0.763 0.769 0.814
0.025 0.528 0.160
0.025 0.839 0.367
0.026 0.633 0.471
0.474 0.529 0.162
0.475 0.632 0.472
0.475 0.840 0.368
0.525 0.160 0.632
0.525 0.368 0.528
0.526 0.471 0.838
0.974 0.367 0.529
0.975 0.161 0.633
0.975 0.472 0.840
```

The 10 most intense peaks (10° ≤ 2θ ≤ 80°), by angle:
2θ (°)	I/Imax
24.53	43.1
26.59	42.9
26.75	43.0
26.90	43.0
28.57	69.5
31.76	56.9
32.53	100.0
32.78	76.2
32.94	80.6
50.60	62.4